Starting from a crystal structure in Alexandria, relaxed with GGA+U, the X-ray diffraction stick pattern of BaCr2CdO8 was computed for λ = 1.5418 Å (Cu Kα).

abc: 5.2555 5.2555 22.6845
angles: 90.00 90.00 120.00
Space group R-3 (No. 148, hexagonal axes)
Asymmetric unit:
Ba  0.0000  0.0000  0.0000 (multiplicity 3)
Cr  0.0000  0.0000  0.2490 (multiplicity 6)
Cd  0.0000  0.0000  0.5000 (multiplicity 3)
O  0.0000  0.0000  0.3222 (multiplicity 6)
O  0.0079  0.3074  0.7726 (multiplicity 18)

Largest 6 diffraction maxima, in order of falling intensity, 10 to 90 degrees two-theta:
2θ 25.09, rel. 100; 2θ 34.12, rel. 41; 2θ 37.36, rel. 30; 2θ 42.82, rel. 21; 2θ 55.85, rel. 19; 2θ 60.31, rel. 19